1.
# MnAl2Pt3
Simulated X-ray powder pattern, Cu Kα. Input: DFT lattice parameters and positions (PBE).
Intensities are scaled so that the largest is 100.

Structure:
Lattice parameters (Å, degrees): 8.184 12.189 4.074 90.00 119.74 90.00
Space group C2/c (No. 15)
One atom of each set of equivalent atoms:
Mn 0.000 0.078 0.250 x4
Al 0.000 0.236 0.750 x4
Al 0.000 0.411 0.250 x4
Pt 0.227 0.415 0.977 x8
Pt 0.250 0.250 0.500 x4

Peak list (10 most intense, 10 to 90 degrees two-theta, sorted by position)
two_theta	I (rel.)
25.06	38
31.09	49
40.34	100
44.48	20
44.60	19
51.73	11
51.84	12
64.82	13
70.40	13
79.27	14



2.
# AcSm6Tm6
Simulated X-ray powder pattern, Cu Kα. Input: DFT lattice parameters and positions (PBE).
Intensities are scaled so that the largest is 100.

Structure:
Lattice parameters (Å, degrees): 7.107 11.252 11.154 90.00 90.00 90.00
Space group Cmmm (No. 65)
One atom of each set of equivalent atoms:
Ac 0.000 0.000 0.000 x2
Sm 0.000 0.000 0.340 x4
Sm 0.000 0.269 0.500 x4
Sm 0.000 0.357 0.000 x4
Tm 0.000 0.500 0.298 x4
Tm 0.250 0.250 0.229 x8

Peak list (10 most intense, 10 to 90 degrees two-theta, sorted by position)
two_theta	I (rel.)
28.78	69
29.77	100
31.38	39
31.81	39
32.10	30
33.89	82
34.93	28
38.52	23
51.43	22
60.01	20



3.
# Sm2HoTm2Sc2
Simulated X-ray powder pattern, Cu Kα. Input: DFT lattice parameters and positions (PBE).
Intensities are scaled so that the largest is 100.

Structure:
Lattice parameters (Å, degrees): 11.319 3.410 11.492 90.00 108.65 90.00
Space group C2/m (No. 12)
One atom of each set of equivalent atoms:
Sm 0.172 0.000 0.089 x4
Ho 0.000 0.500 0.500 x2
Tm 0.046 0.000 0.767 x4
Sc 0.228 0.500 0.369 x4

Peak list (10 most intense, 10 to 90 degrees two-theta, sorted by position)
two_theta	I (rel.)
15.92	22
27.45	17
27.88	19
29.44	21
31.74	100
33.45	69
33.96	33
36.51	45
53.35	25
63.79	28



4.
# Cs2PaBr5Cl
Simulated X-ray powder pattern, Cu Kα. Input: DFT lattice parameters and positions (PBE).
Intensities are scaled so that the largest is 100.

Structure:
Lattice parameters (Å, degrees): 8.116 8.116 11.336 90.00 90.00 90.00
Space group I4mm (No. 107)
One atom of each set of equivalent atoms:
Cs 0.000 0.500 0.000 x4
Pa 0.000 0.000 0.249 x2
Br 0.000 0.000 0.497 x2
Br 0.245 0.245 0.251 x8
Cl 0.000 0.000 0.017 x2

Peak list (10 most intense, 10 to 90 degrees two-theta, sorted by position)
two_theta	I (rel.)
13.42	99
22.04	73
25.77	38
27.02	79
31.17	100
31.57	48
38.51	35
44.66	36
44.96	71
55.72	37



5.
# Nd8Ga2Ru
Simulated X-ray powder pattern, Cu Kα. Input: DFT lattice parameters and positions (PBE).
Intensities are scaled so that the largest is 100.

Structure:
Lattice parameters (Å, degrees): 5.476 7.010 16.398 90.00 90.00 90.00
Space group Immm (No. 71)
One atom of each set of equivalent atoms:
Nd 0.000 0.000 0.198 x4
Nd 0.000 0.235 0.372 x8
Nd 0.000 0.252 0.000 x4
Ga 0.000 0.500 0.185 x4
Ru 0.000 0.500 0.500 x2

Peak list (10 most intense, 10 to 90 degrees two-theta, sorted by position)
two_theta	I (rel.)
23.29	11
27.68	15
31.80	41
32.72	49
34.53	100
51.67	16
52.20	10
59.55	21
62.47	27
62.98	14



6.
# Cs5SiS4Br2
Simulated X-ray powder pattern, Cu Kα. Input: DFT lattice parameters and positions (PBE).
Intensities are scaled so that the largest is 100.

Structure:
Lattice parameters (Å, degrees): 10.303 11.933 8.557 90.00 90.00 90.00
Space group Amm2 (No. 38)
One atom of each set of equivalent atoms:
Cs 0.000 0.000 0.000 x2
Cs 0.278 0.195 0.471 x8
Si 0.500 0.000 0.929 x2
S 0.342 0.000 0.093 x4
S 0.500 0.142 0.779 x4
Br 0.000 0.234 0.726 x4

Peak list (10 most intense, 10 to 90 degrees two-theta, sorted by position)
two_theta	I (rel.)
14.85	37
20.76	29
21.47	55
22.81	25
24.68	80
27.08	76
30.25	23
31.03	100
43.11	48
53.12	32



7.
# La4Pt3
Simulated X-ray powder pattern, Cu Kα. Input: DFT lattice parameters and positions (PBE).
Intensities are scaled so that the largest is 100.

Structure:
Lattice parameters (Å, degrees): 13.3362 13.3362 7.6303 90.00 90.00 120.00
Space group R-3 (No. 148, hexagonal axes)
One atom of each set of equivalent atoms:
La 0.0000 0.0000 0.0000 x3
La 0.0000 0.0000 0.5000 x3
La 0.0004 0.4480 0.2503 x18
Pt 0.0004 0.1852 0.2498 x18

Peak list (10 most intense, 10 to 90 degrees two-theta, sorted by position)
two_theta	I (rel.)
23.48	27
30.26	100
31.13	58
35.62	15
36.63	31
37.86	23
44.82	19
47.22	18
49.47	23
72.04	15



8.
# Pr8Tl2Ag3
Simulated X-ray powder pattern, Cu Kα. Input: DFT lattice parameters and positions (PBE).
Intensities are scaled so that the largest is 100.

Structure:
Lattice parameters (Å, degrees): 15.631 8.337 6.537 90.00 96.00 90.00
Space group C2/m (No. 12)
One atom of each set of equivalent atoms:
Pr 0.088 0.000 0.383 x4
Pr 0.111 0.211 0.884 x8
Pr 0.177 0.500 0.340 x4
Tl 0.240 0.500 0.837 x4
Ag 0.000 0.335 0.500 x4
Ag 0.000 0.500 0.000 x2

Peak list (10 most intense, 10 to 90 degrees two-theta, sorted by position)
two_theta	I (rel.)
24.23	36
27.29	35
28.49	43
30.68	84
30.91	100
32.77	88
33.42	66
35.41	37
35.84	63
64.46	34



9.
# Nd2Cu9Ag
Simulated X-ray powder pattern, Cu Kα. Input: DFT lattice parameters and positions (PBE).
Intensities are scaled so that the largest is 100.

Structure:
Lattice parameters (Å, degrees): 5.1529 5.1529 24.9314 90.00 90.00 120.00
Space group R-3m (No. 166, hexagonal axes)
One atom of each set of equivalent atoms:
Nd 0.0000 0.0000 0.1335 x6
Cu 0.0000 0.0000 0.3328 x6
Cu 0.0000 0.0000 0.5000 x3
Cu 0.0007 0.5003 0.9206 x18
Ag 0.0000 0.0000 0.0000 x3

Peak list (10 most intense, 10 to 90 degrees two-theta, sorted by position)
two_theta	I (rel.)
32.16	46
34.82	59
35.12	56
40.59	49
41.23	100
44.48	33
44.85	22
62.63	20
66.80	22
73.52	29



10.
# Ba2CuSb3Pd4
Simulated X-ray powder pattern, Cu Kα. Input: DFT lattice parameters and positions (PBE).
Intensities are scaled so that the largest is 100.

Structure:
Lattice parameters (Å, degrees): 4.713 4.713 10.740 90.00 90.00 90.00
Space group P-4m2 (No. 115)
One atom of each set of equivalent atoms:
Ba 0.000 0.500 0.245 x2
Cu 0.500 0.500 0.000 x1
Sb 0.000 0.000 0.000 x1
Sb 0.000 0.500 0.628 x2
Pd 0.000 0.000 0.500 x1
Pd 0.000 0.500 0.882 x2
Pd 0.500 0.500 0.500 x1

Peak list (10 most intense, 10 to 90 degrees two-theta, sorted by position)
two_theta	I (rel.)
31.38	84
31.60	100
38.19	87
43.27	35
46.46	25
50.23	44
55.11	29
58.53	19
61.65	21
64.93	24



11.
# Y2ZnGa3
Simulated X-ray powder pattern, Cu Kα. Input: DFT lattice parameters and positions (PBE).
Intensities are scaled so that the largest is 100.

Structure:
Lattice parameters (Å, degrees): 3.708 4.373 7.569 90.00 90.00 90.00
Space group Pmm2 (No. 25)
One atom of each set of equivalent atoms:
Y 0.000 0.000 0.000 x1
Y 0.000 0.500 0.495 x1
Zn 0.500 0.500 0.828 x1
Ga 0.500 0.000 0.333 x1
Ga 0.500 0.000 0.669 x1
Ga 0.500 0.500 0.159 x1

Peak list (10 most intense, 10 to 90 degrees two-theta, sorted by position)
two_theta	I (rel.)
24.00	4
33.84	100
41.31	60
49.14	12
54.42	25
66.08	28
70.55	22
75.31	9
82.01	7
89.73	6



12.
# Pr7AsS5
Simulated X-ray powder pattern, Cu Kα. Input: DFT lattice parameters and positions (PBE).
Intensities are scaled so that the largest is 100.

Structure:
Lattice parameters (Å, degrees): 4.094 7.050 24.336 89.99 90.00 73.19
Space group P-1 (No. 2)
One atom of each set of equivalent atoms:
Pr 0.031 0.440 0.250 x2
Pr 0.138 0.224 0.538 x2
Pr 0.138 0.225 0.962 x2
Pr 0.311 0.878 0.178 x2
Pr 0.311 0.879 0.322 x2
Pr 0.410 0.679 0.613 x2
Pr 0.410 0.680 0.887 x2
As 0.308 0.883 0.750 x2
S 0.050 0.399 0.857 x2
S 0.050 0.400 0.643 x2
S 0.224 0.051 0.429 x2
S 0.224 0.052 0.071 x2
S 0.500 0.500 0.000 x1
S 0.500 0.500 0.500 x1

Peak list (10 most intense, 10 to 90 degrees two-theta, sorted by position)
two_theta	I (rel.)
27.07	49
28.89	100
30.42	98
31.54	59
32.28	28
40.54	26
43.79	25
44.27	64
52.64	27
53.71	35